Starting from the PBE geometry in Alexandria, the PXRD pattern of ErZr4Sc2 was computed for Cu Kα.
Kinematic intensities with the Lorentz-polarization factor, no thermal factor.

Cell and atoms:
a b c (Å): 5.336 3.181 10.688
angles (deg): 90.00 99.92 90.00
Space group P2 (No. 3)
Inequivalent atoms, fractional coordinates:
Er: 0.000 0.000 0.000
Zr: 0.088 0.502 0.263
Zr: 0.432 0.003 0.783
Sc: 0.000 0.002 0.500
Sc: 0.500 0.502 0.500

Most intense lines, 10° ≤ 2θ ≤ 90°, low angle first:
| index | 2θ/deg | I (rel.) |
| --- | --- | --- |
| 1 0 0 | 16.86 | 36.2 |
| 1 0 -3 | 28.04 | 31.9 |
| 0 1 1 | 29.33 | 26.9 |
| 1 0 3 | 33.04 | 23.2 |
| 2 0 -1 | 33.70 | 30.6 |
| 0 0 4 | 34.09 | 98.1 |
| 1 1 -2 | 35.76 | 100.0 |
| 1 1 2 | 38.57 | 89.9 |
| 1 1 -3 | 40.07 | 20.7 |
| 1 1 -6 | 60.18 | 21.8 |